For Y2Pt3, a GGA-PBE-relaxed structure gives the simulated powder XRD pattern in this record (Cu Kα).
No peak broadening, texture or thermal motion is included.

Crystal structure
a = 7.4155 Å, b = 7.4155 Å, c = 3.7793 Å
α = 90.00°, β = 90.00°, γ = 90.00°
Space group P4/mbm (No. 127)
One atom of each set of equivalent atoms:
Y (0.1746, 0.3254, 0.0000) (multiplicity 4)
Pt (0.0000, 0.0000, 0.5000) (multiplicity 2)
Pt (0.1307, 0.6307, 0.5000) (multiplicity 4)

Principal peaks in the range 2θ = 10–80°, by intensity:
h k l	Position (°2θ)	Rel. int.
2 1 1	36.0	100
3 1 0	38.4	57
0 0 1	23.5	33
3 1 1	45.5	31
3 1 2	63.2	27
2 0 1	33.9	26
0 0 2	48.2	19
5 1 1	69.2	14
2 1 0	26.9	14
5 2 1	73.1	13